For Li8Pd2Au3, the GGA-PBE geometry in Alexandria gives the calculated powder diffractogram in this record (Cu Ka).

Structure:
```
data_Li8Pd2Au3
_symmetry_space_group_name_H-M 'R -3 m'
_symmetry_Int_Tables_number 166
_symmetry_space_group_name_Hall '-R 3 2"'
_cell_length_a 4.9864
_cell_length_b 4.9864
_cell_length_c 27.7705
_cell_angle_alpha 90.00
_cell_angle_beta 90.00
_cell_angle_gamma 120.00
loop_
_atom_site_label
_atom_site_fract_x
_atom_site_fract_y
_atom_site_fract_z
_atom_site_occupancy
Li1 0.0000 0.0000 0.2182 1
Li2 0.9997 0.4998 0.2728 1
Pd1 0.0000 0.0000 0.1342 1
Au1 0.0000 0.0000 0.3129 1
Au2 0.0000 0.0000 0.5000 1
```

Largest 12 diffraction maxima, by angle, 2θ = 10–90°:
2θ (°)	d_spacing	I/Imax	h k l
19.18	4.628	46	0 0 6
20.82	4.267	16	1 0 1
26.14	3.409	100	0 1 5
36.02	2.493	68	1 1 0
41.12	2.195	45	1 1 6
41.43	2.179	45	0 1 11
45.05	2.012	26	2 0 5
56.04	1.641	17	2 0 11
57.20	1.610	14	1 0 16
58.98	1.566	21	1 2 5
64.76	1.439	12	3 0 0
68.45	1.371	21	1 2 11



For RbTlHgBr6, the GGA-PBE geometry in Alexandria gives the calculated powder diffractogram in this record (Cu Ka).

Structure:
```
data_RbTlHgBr6
_symmetry_space_group_name_H-M 'C 1 2 1'
_symmetry_Int_Tables_number 5
_cell_length_a 7.3351
_cell_length_b 12.7182
_cell_length_c 7.6395
_cell_angle_alpha 90.00
_cell_angle_beta 90.05
_cell_angle_gamma 90.00
loop_
_symmetry_equiv_pos_as_xyz
'x,y,z'
'-x,y,-z'
'x+1/2,y+1/2,z'
'-x+1/2,y+1/2,-z'
loop_
_atom_site_label
_atom_site_fract_x
_atom_site_fract_y
_atom_site_fract_z
_atom_site_occupancy
Rb1 0.0000 0.0000 0.0000 1
Tl1 0.0000 0.6666 0.5000 1
Hg1 0.0000 0.3334 0.5000 1
Br1 0.1256 0.5027 0.2849 1
Br2 0.1834 0.8114 0.2849 1
Br3 0.1912 0.1860 0.2847 1
```

Largest 12 diffraction maxima, by angle, 2θ = 10–90°:
2θ (°)	d_spacing	I/Imax	h k l
11.58	7.640	70	0 0 1
13.93	6.356	26	1 1 0
18.16	4.886	82	1 1 1
26.96	3.308	78	2 0 1
30.47	2.934	16	0 4 1
33.87	2.646	100	2 0 2
39.32	2.292	28	2 4 -1
42.68	2.119	40	3 3 0
43.25	2.092	30	1 3 3
53.34	1.718	16	1 7 1
55.57	1.654	20	2 6 2
72.51	1.304	18	5 3 2



For Sm3YSc4, the GGA-PBE geometry in Alexandria gives the calculated powder diffractogram in this record (Cu Ka).

Structure:
```
data_Sm3YSc4
_symmetry_space_group_name_H-M 'P m n 21'
_symmetry_Int_Tables_number 31
_cell_length_a 10.9018
_cell_length_b 7.0701
_cell_length_c 6.0081
_cell_angle_alpha 90.00
_cell_angle_beta 90.00
_cell_angle_gamma 90.00
loop_
_symmetry_equiv_pos_as_xyz
'x,y,z'
'-x+1/2,-y,z+1/2'
'-x,y,z'
'x+1/2,-y,z+1/2'
loop_
_atom_site_label
_atom_site_fract_x
_atom_site_fract_y
_atom_site_fract_z
_atom_site_occupancy
Sm1 0.0000 0.1375 0.0000 1
Sm2 0.2488 0.8635 0.8495 1
Y1 0.0000 0.8624 0.4964 1
Sc1 0.0000 0.3861 0.5083 1
Sc2 0.0000 0.6114 0.0077 1
Sc3 0.2488 0.6114 0.3370 1
```

Largest 12 diffraction maxima, by angle, 2θ = 10–90°:
2θ (°)	d_spacing	I/Imax	h k l
12.52	7.070	28	0 1 0
25.41	3.506	37	2 1 1
29.31	3.047	21	0 2 1
29.74	3.004	15	0 0 2
32.86	2.725	35	4 0 0
33.70	2.660	100	2 2 1
34.08	2.631	43	2 0 2
44.60	2.032	15	4 2 1
52.52	1.742	17	0 2 3
59.21	1.561	19	6 2 1
63.35	1.468	19	4 2 3
63.40	1.467	12	2 4 2



For TaFe2Pt2, the GGA-PBE geometry in Alexandria gives the calculated powder diffractogram in this record (Cu Ka).

Structure:
```
data_TaFe2Pt2
_symmetry_space_group_name_H-M 'I m m a'
_symmetry_Int_Tables_number 74
_symmetry_space_group_name_Hall '-I 2b 2'
_cell_length_a 4.5372
_cell_length_b 10.4969
_cell_length_c 6.6978
_cell_angle_alpha 90.00
_cell_angle_beta 90.00
_cell_angle_gamma 90.00
loop_
_atom_site_label
_atom_site_fract_x
_atom_site_fract_y
_atom_site_fract_z
_atom_site_occupancy
Ta1 0.0000 0.2500 0.0849 1
Fe1 0.0000 0.0386 0.8362 1
Pt1 0.0000 0.1210 0.4643 1
```

Largest 12 diffraction maxima, by angle, 2θ = 10–90°:
2θ (°)	d_spacing	I/Imax	h k l
15.69	5.646	28	0 1 1
23.69	3.756	17	1 0 1
26.62	3.349	37	0 0 2
39.73	2.269	43	2 0 0
41.34	2.184	19	0 1 3
42.00	2.151	100	1 4 1
42.34	2.135	38	1 3 2
43.83	2.066	12	0 4 2
45.27	2.003	23	1 0 3
48.47	1.878	15	2 0 2
58.68	1.573	14	2 1 3
73.68	1.286	22	3 4 1



For Pm2Dy2Bi3, the GGA-PBE geometry in Alexandria gives the calculated powder diffractogram in this record (Cu Ka).

Structure:
```
data_Pm2Dy2Bi3
_symmetry_space_group_name_H-M 'C 1 2/m 1'
_symmetry_Int_Tables_number 12
_cell_length_a 14.4311
_cell_length_b 4.5346
_cell_length_c 7.5470
_cell_angle_alpha 90.00
_cell_angle_beta 99.33
_cell_angle_gamma 90.00
loop_
_symmetry_equiv_pos_as_xyz
'x,y,z'
'-x,-y,-z'
'-x,y,-z'
'x,-y,z'
'x+1/2,y+1/2,z'
'-x+1/2,-y+1/2,-z'
'-x+1/2,y+1/2,-z'
'x+1/2,-y+1/2,z'
loop_
_atom_site_label
_atom_site_fract_x
_atom_site_fract_y
_atom_site_fract_z
_atom_site_occupancy
Pm1 0.1230 0.0000 0.3559 1
Dy1 0.1182 0.5000 0.8851 1
Bi1 0.0000 0.5000 0.5000 1
Bi2 0.2390 0.0000 0.7552 1
```

Largest 12 diffraction maxima, by angle, 2θ = 10–90°:
2θ (°)	d_spacing	I/Imax	h k l
28.49	3.133	100	3 1 -1
28.80	3.100	49	2 0 2
30.96	2.889	10	1 1 -2
39.76	2.267	21	0 2 0
40.88	2.208	41	5 1 1
41.03	2.200	37	1 1 -3
41.68	2.167	19	6 0 -2
49.83	1.830	22	2 2 2
51.33	1.780	9	8 0 0
51.58	1.772	9	4 0 -4
58.96	1.567	12	6 2 -2
65.39	1.427	10	3 3 -1